Record 1
The following is a simulated X-ray powder pattern of Cs2HgBiI6. It was derived from a DFT-relaxed cell (GGA-PBE, the Materials Project), using Cu Ka.

Atomic structure:
Unit cell a=12.503 b=12.503 c=12.503 alpha=90.00 beta=90.00 gamma=90.00
Space group Fm-3m (No. 225)
Inequivalent atoms, fractional coordinates:
Cs 0.250 0.250 0.250 (multiplicity 8)
Hg 0.000 0.000 0.000 (multiplicity 4)
Bi 0.000 0.000 0.500 (multiplicity 4)
I 0.000 0.000 0.252 (multiplicity 24)

Peak list (6 most intense, 2θ from 10° to 90°, in order of rising 2θ)
| two_theta | d [Å] | I/Imax |
| --- | --- | --- |
| 14.17 | 6.251 | 39 |
| 20.09 | 4.420 | 39 |
| 24.67 | 3.609 | 36 |
| 28.56 | 3.126 | 100 |
| 40.83 | 2.210 | 76 |
| 66.94 | 1.398 | 35 |


Record 2
The following is a simulated X-ray powder pattern of Cs3BiI6. It was derived from a DFT-relaxed cell (GGA-PBE, the Materials Project), using Cu Ka.

Atomic structure:
Unit cell a=13.431 b=13.431 c=13.431 alpha=90.00 beta=90.00 gamma=90.00
Space group Fm-3m (No. 225)
Inequivalent atoms, fractional coordinates:
Cs 0.000 0.000 0.000 (multiplicity 4)
Cs 0.250 0.250 0.250 (multiplicity 8)
Bi 0.000 0.000 0.500 (multiplicity 4)
I 0.000 0.000 0.270 (multiplicity 24)

Peak list (6 most intense, 2θ from 10° to 90°, in order of rising 2θ)
| two_theta | d [Å] | I/Imax |
| --- | --- | --- |
| 13.18 | 6.716 | 32 |
| 18.69 | 4.749 | 34 |
| 22.94 | 3.877 | 48 |
| 26.55 | 3.358 | 100 |
| 37.89 | 2.374 | 74 |
| 61.78 | 1.502 | 31 |


Record 3
The following is a simulated X-ray powder pattern of Cs2LiBiI6. It was derived from a DFT-relaxed cell (GGA-PBE, the Materials Project), using Cu Ka.

Atomic structure:
Unit cell a=12.212 b=12.212 c=12.212 alpha=90.00 beta=90.00 gamma=90.00
Space group Fm-3m (No. 225)
Inequivalent atoms, fractional coordinates:
Cs 0.250 0.250 0.250 (multiplicity 8)
Li 0.000 0.000 0.000 (multiplicity 4)
Bi 0.000 0.000 0.500 (multiplicity 4)
I 0.000 0.000 0.247 (multiplicity 24)

Peak list (6 most intense, 2θ from 10° to 90°, in order of rising 2θ)
| two_theta | d [Å] | I/Imax |
| --- | --- | --- |
| 25.26 | 3.525 | 84 |
| 29.25 | 3.053 | 100 |
| 41.85 | 2.159 | 75 |
| 49.51 | 1.841 | 38 |
| 51.87 | 1.763 | 27 |
| 68.76 | 1.365 | 34 |


Record 4
The following is a simulated X-ray powder pattern of Cs2TlBiI6. It was derived from a DFT-relaxed cell (GGA-PBE, the Materials Project), using Cu Ka.

Atomic structure:
Unit cell a=12.852 b=12.852 c=12.852 alpha=90.00 beta=90.00 gamma=90.00
Space group Fm-3m (No. 225)
Inequivalent atoms, fractional coordinates:
Cs 0.250 0.250 0.250 (multiplicity 8)
Tl 0.000 0.000 0.000 (multiplicity 4)
Bi 0.000 0.000 0.500 (multiplicity 4)
I 0.000 0.000 0.259 (multiplicity 24)

Peak list (6 most intense, 2θ from 10° to 90°, in order of rising 2θ)
| two_theta | d [Å] | I/Imax |
| --- | --- | --- |
| 13.78 | 6.426 | 40 |
| 19.54 | 4.544 | 40 |
| 23.99 | 3.710 | 36 |
| 27.77 | 3.213 | 100 |
| 39.67 | 2.272 | 76 |
| 64.89 | 1.437 | 35 |


Record 5
The following is a simulated X-ray powder pattern of CsMg14Bi. It was derived from a DFT-relaxed cell (GGA-PBE, the Materials Project), using Cu Ka.

Atomic structure:
Unit cell a=10.669 b=6.781 c=11.517 alpha=90.00 beta=90.00 gamma=90.00
Space group Amm2 (No. 38)
Inequivalent atoms, fractional coordinates:
Cs 0.000 0.000 0.000 (multiplicity 2)
Mg 0.000 0.242 0.253 (multiplicity 4)
Mg 0.246 0.000 0.673 (multiplicity 4)
Mg 0.268 0.000 0.177 (multiplicity 4)
Mg 0.270 0.240 0.417 (multiplicity 8)
Mg 0.500 0.000 0.003 (multiplicity 2)
Mg 0.500 0.000 0.506 (multiplicity 2)
Mg 0.500 0.245 0.750 (multiplicity 4)
Bi 0.000 0.000 0.493 (multiplicity 2)

Peak list (6 most intense, 2θ from 10° to 90°, in order of rising 2θ)
| two_theta | d [Å] | I/Imax |
| --- | --- | --- |
| 15.39 | 5.758 | 34 |
| 17.50 | 5.067 | 54 |
| 22.72 | 3.913 | 32 |
| 33.60 | 2.667 | 33 |
| 35.02 | 2.562 | 100 |
| 35.43 | 2.534 | 43 |


Record 6
The following is a simulated X-ray powder pattern of CsMg14Bi. It was derived from a DFT-relaxed cell (GGA-PBE, the Materials Project), using Cu Ka.

Atomic structure:
Unit cell a=6.5822 b=6.5822 c=11.0824 alpha=90.00 beta=90.00 gamma=120.00
Space group P-6m2 (No. 187)
Inequivalent atoms, fractional coordinates:
Cs 0.0000 0.0000 0.0000 (multiplicity 1)
Mg 0.0049 0.5024 0.0000 (multiplicity 3)
Mg 0.1730 0.3460 0.2608 (multiplicity 6)
Mg 0.5025 0.0050 0.5000 (multiplicity 3)
Mg 0.6667 0.3333 0.2446 (multiplicity 2)
Bi 0.0000 0.0000 0.5000 (multiplicity 1)

Peak list (6 most intense, 2θ from 10° to 90°, in order of rising 2θ)
| two_theta | d [Å] | I/Imax |
| --- | --- | --- |
| 15.55 | 5.700 | 72 |
| 22.38 | 3.973 | 70 |
| 31.39 | 2.850 | 33 |
| 31.62 | 2.830 | 28 |
| 32.31 | 2.771 | 27 |
| 35.42 | 2.535 | 100 |


Record 7
The following is a simulated X-ray powder pattern of CsMg6BiO8. It was derived from a DFT-relaxed cell (GGA-PBE, the Materials Project), using Cu Ka.

Atomic structure:
Unit cell a=4.822 b=4.822 c=9.162 alpha=90.00 beta=90.00 gamma=90.00
Space group P4/mmm (No. 123)
Inequivalent atoms, fractional coordinates:
Cs 0.000 0.000 0.000 (multiplicity 1)
Mg 0.000 0.000 0.500 (multiplicity 1)
Mg 0.000 0.500 0.277 (multiplicity 4)
Mg 0.500 0.500 0.500 (multiplicity 1)
Bi 0.500 0.500 0.000 (multiplicity 1)
O 0.000 0.000 0.291 (multiplicity 2)
O 0.000 0.500 0.000 (multiplicity 2)
O 0.000 0.500 0.500 (multiplicity 2)
O 0.500 0.500 0.270 (multiplicity 2)

Peak list (6 most intense, 2θ from 10° to 90°, in order of rising 2θ)
| two_theta | d [Å] | I/Imax |
| --- | --- | --- |
| 19.38 | 4.581 | 58 |
| 26.13 | 3.410 | 52 |
| 27.92 | 3.196 | 92 |
| 32.74 | 2.735 | 92 |
| 37.29 | 2.411 | 100 |
| 55.32 | 1.661 | 52 |


Record 8
The following is a simulated X-ray powder pattern of CsMg6BiO8. It was derived from a DFT-relaxed cell (GGA-PBE, the Materials Project), using Cu Ka.

Atomic structure:
Unit cell a=4.779 b=4.779 c=9.481 alpha=90.00 beta=90.00 gamma=90.00
Space group P4/mmm (No. 123)
Inequivalent atoms, fractional coordinates:
Cs 0.000 0.000 0.000 (multiplicity 1)
Mg 0.000 0.500 0.238 (multiplicity 4)
Mg 0.500 0.500 0.000 (multiplicity 1)
Mg 0.500 0.500 0.500 (multiplicity 1)
Bi 0.000 0.000 0.500 (multiplicity 1)
O 0.000 0.000 0.267 (multiplicity 2)
O 0.000 0.500 0.000 (multiplicity 2)
O 0.000 0.500 0.500 (multiplicity 2)
O 0.500 0.500 0.254 (multiplicity 2)

Peak list (6 most intense, 2θ from 10° to 90°, in order of rising 2θ)
| two_theta | d [Å] | I/Imax |
| --- | --- | --- |
| 18.57 | 4.779 | 100 |
| 26.48 | 3.366 | 88 |
| 32.54 | 2.752 | 80 |
| 37.64 | 2.389 | 83 |
| 42.32 | 2.135 | 51 |
| 54.53 | 1.683 | 52 |


Record 9
The following is a simulated X-ray powder pattern of CsMnBi. It was derived from a DFT-relaxed cell (GGA-PBE, the Materials Project), using Cu Ka.

Atomic structure:
Unit cell a=4.962 b=4.962 c=9.172 alpha=90.00 beta=90.00 gamma=90.00
Space group P4/nmm (No. 129, origin choice 2)
Inequivalent atoms, fractional coordinates:
Cs 0.250 0.250 0.147 (multiplicity 2)
Mn 0.250 0.750 0.500 (multiplicity 2)
Bi 0.250 0.250 0.673 (multiplicity 2)

Peak list (6 most intense, 2θ from 10° to 90°, in order of rising 2θ)
| two_theta | d [Å] | I/Imax |
| --- | --- | --- |
| 25.39 | 3.508 | 49 |
| 26.47 | 3.368 | 100 |
| 32.12 | 2.787 | 31 |
| 36.21 | 2.481 | 39 |
| 43.48 | 2.081 | 21 |
| 45.41 | 1.997 | 47 |


Record 10
The following is a simulated X-ray powder pattern of Cs2MnBi2S5. It was derived from a DFT-relaxed cell (GGA-PBE, the Materials Project), using Cu Ka.

Atomic structure:
Unit cell a=16.041 b=4.190 c=18.472 alpha=90.00 beta=90.00 gamma=90.00
Space group Pnma (No. 62)
Inequivalent atoms, fractional coordinates:
Cs 0.007 0.250 0.124 (multiplicity 4)
Cs 0.037 0.750 0.383 (multiplicity 4)
Mn 0.208 0.250 0.854 (multiplicity 4)
Bi 0.209 0.750 0.698 (multiplicity 4)
Bi 0.248 0.750 0.016 (multiplicity 4)
S 0.109 0.250 0.756 (multiplicity 4)
S 0.136 0.750 0.561 (multiplicity 4)
S 0.141 0.250 0.971 (multiplicity 4)
S 0.183 0.750 0.149 (multiplicity 4)
S 0.212 0.250 0.344 (multiplicity 4)

Peak list (6 most intense, 2θ from 10° to 90°, in order of rising 2θ)
| two_theta | d [Å] | I/Imax |
| --- | --- | --- |
| 11.04 | 8.017 | 70 |
| 22.19 | 4.005 | 100 |
| 26.32 | 3.386 | 59 |
| 27.47 | 3.247 | 32 |
| 28.74 | 3.106 | 80 |
| 43.17 | 2.096 | 37 |